Computed powder X-ray diffraction pattern
Compound: PmU3S6
Radiation: Cu Kα (weighted mean of Kα1 and Kα2)
Structure: DFT lattice parameters and positions (GGA-PBE)
No peak broadening, texture or thermal motion is included.

Top 6 peaks for 10° ≤ 2θ ≤ 80°, low angle first:
23.35°, I 73; 24.41°, I 100; 26.46°, I 80; 26.99°, I 51; 27.84°, I 48; 42.81°, I 53

a b c (Å): 10.9454 3.9161 11.4434
angles (deg): 90.00 107.59 90.00
Positions (direct):
1 Pm 0.0484 0.2500 0.1934
2 Pm 0.9516 0.7500 0.8066
3 U 0.1541 0.2500 0.5795
4 U 0.3181 0.7500 0.9964
5 U 0.4315 0.2500 0.3349
6 U 0.5685 0.7500 0.6651
7 U 0.6819 0.2500 0.0036
8 U 0.8459 0.7500 0.4205
9 S 0.0861 0.7500 0.4024
10 S 0.1214 0.2500 0.9634
11 S 0.1953 0.7500 0.7482
12 S 0.2602 0.7500 0.2246
13 S 0.3971 0.2500 0.5623
14 S 0.4870 0.2500 0.1198
15 S 0.5130 0.7500 0.8802
16 S 0.6029 0.7500 0.4377
17 S 0.7398 0.2500 0.7754
18 S 0.8047 0.2500 0.2518
19 S 0.8786 0.7500 0.0366
20 S 0.9139 0.2500 0.5976


Computed powder X-ray diffraction pattern
Compound: PmU4S7
Radiation: Cu Kα (weighted mean of Kα1 and Kα2)
Structure: DFT lattice parameters and positions (GGA-PBE)
No peak broadening, texture or thermal motion is included.

Top 6 peaks for 10° ≤ 2θ ≤ 80°, low angle first:
11.60°, I 38; 26.54°, I 43; 28.78°, I 50; 30.62°, I 100; 35.39°, I 40; 46.32°, I 40

a b c (Å): 3.9204 3.9204 22.8860
angles (deg): 90.00 90.00 120.00
Positions (direct):
1 Pm 0.0000 0.0000 0.0000
2 U 0.3333 0.6667 0.1450
3 U 0.3333 0.6667 0.4304
4 U 0.6667 0.3333 0.5696
5 U 0.6667 0.3333 0.8550
6 S 0.0000 0.0000 0.2073
7 S 0.0000 0.0000 0.5000
8 S 0.0000 0.0000 0.7927
9 S 0.3333 0.6667 0.6324
10 S 0.3333 0.6667 0.9249
11 S 0.6667 0.3333 0.0751
12 S 0.6667 0.3333 0.3676


Computed powder X-ray diffraction pattern
Compound: PmY2S4
Radiation: Cu Kα (weighted mean of Kα1 and Kα2)
Structure: DFT lattice parameters and positions (GGA-PBE)
No peak broadening, texture or thermal motion is included.

Top 6 peaks for 10° ≤ 2θ ≤ 80°, low angle first:
24.41°, I 100; 24.99°, I 32; 31.78°, I 55; 33.93°, I 65; 42.01°, I 37; 46.73°, I 30

a b c (Å): 6.7794 6.7794 13.2126
angles (deg): 90.00 90.00 146.91
Positions (direct):
1 Pm 0.1248 0.8752 0.7500
2 Pm 0.8752 0.1248 0.2500
3 Y 0.3701 0.6299 0.5687
4 Y 0.3701 0.6299 0.9313
5 Y 0.6299 0.3701 0.0687
6 Y 0.6299 0.3701 0.4313
7 S 0.0000 0.0000 0.0000
8 S 0.0000 0.0000 0.5000
9 S 0.2742 0.7258 0.1204
10 S 0.2742 0.7258 0.3796
11 S 0.4661 0.5339 0.7500
12 S 0.5339 0.4661 0.2500
13 S 0.7258 0.2742 0.6204
14 S 0.7258 0.2742 0.8796


Computed powder X-ray diffraction pattern
Compound: Pm4YS4
Radiation: Cu Kα (weighted mean of Kα1 and Kα2)
Structure: DFT lattice parameters and positions (GGA-PBE)
No peak broadening, texture or thermal motion is included.

Top 6 peaks for 10° ≤ 2θ ≤ 80°, low angle first:
27.39°, I 100; 31.55°, I 39; 31.82°, I 77; 45.42°, I 56; 54.03°, I 32; 56.52°, I 29

a b c (Å): 6.8988 6.8988 6.8988
angles (deg): 99.73 99.73 131.46
Positions (direct):
1 Pm 0.1011 0.6970 0.7981
2 Pm 0.3030 0.1011 0.4041
3 Pm 0.6970 0.8989 0.5959
4 Pm 0.8989 0.3030 0.2019
5 Y 0.5000 0.5000 0.0000
6 S 0.2043 0.4022 0.6065
7 S 0.4022 0.7957 0.1979
8 S 0.5978 0.2043 0.8021
9 S 0.7957 0.5978 0.3935


Computed powder X-ray diffraction pattern
Compound: PmY6S8
Radiation: Cu Kα (weighted mean of Kα1 and Kα2)
Structure: DFT lattice parameters and positions (GGA-PBE)
No peak broadening, texture or thermal motion is included.

Top 6 peaks for 10° ≤ 2θ ≤ 80°, low angle first:
13.84°, I 21; 27.90°, I 38; 32.32°, I 100; 46.36°, I 69; 57.64°, I 24; 76.98°, I 30

a b c (Å): 7.8344 7.8344 7.8344
angles (deg): 60.00 60.00 60.00
Positions (direct):
1 Pm 0.0000 0.0000 0.0000
2 Y 0.0000 0.0000 0.5000
3 Y 0.0000 0.5000 0.0000
4 Y 0.0000 0.5000 0.5000
5 Y 0.5000 0.0000 0.0000
6 Y 0.5000 0.0000 0.5000
7 Y 0.5000 0.5000 0.0000
8 S 0.2500 0.2500 0.2500
9 S 0.2557 0.2557 0.7443
10 S 0.2557 0.7443 0.2557
11 S 0.2557 0.7443 0.7443
12 S 0.7443 0.2557 0.2557
13 S 0.7443 0.2557 0.7443
14 S 0.7443 0.7443 0.2557
15 S 0.7500 0.7500 0.7500